Computed X-ray diffraction stick pattern
Compound: Ge2WO6
Radiation: copper Kα
Structure: a PBE+U-relaxed structure
Kinematic intensities with the Lorentz-polarization factor, no thermal factor.

Most intense lines, 2θ from 10° to 80°, in order of rising 2θ:
2theta, d_spacing, I (rel.)
13.31, 6.650, 95.9
18.82, 4.715, 72.7
28.40, 3.142, 100.0
29.38, 3.040, 83.8
32.98, 2.716, 57.4
34.44, 2.604, 58.7

Cell lengths 6.8345, 6.8345, 5.6981 Å; angles 103.00, 103.00, 84.17 degrees
Atoms (fractional coordinates):
Ge 0.1128 0.2871 0.2548
Ge 0.2871 0.1128 0.7548
Ge 0.7129 0.8872 0.2452
Ge 0.8872 0.7129 0.7452
W 0.4041 0.5959 0.7500
W 0.5959 0.4041 0.2500
O 0.1128 0.1634 0.4948
O 0.1268 0.5993 0.8124
O 0.1634 0.1128 0.9948
O 0.3159 0.4577 0.3632
O 0.4007 0.8732 0.6876
O 0.4577 0.3159 0.8632
O 0.5423 0.6841 0.1368
O 0.5993 0.1268 0.3124
O 0.6841 0.5423 0.6368
O 0.8366 0.8872 0.0052
O 0.8732 0.4007 0.1876
O 0.8872 0.8366 0.5052

---

Computed X-ray diffraction stick pattern
Compound: Ge2WO6
Radiation: copper Kα
Structure: a PBE+U-relaxed structure
Kinematic intensities with the Lorentz-polarization factor, no thermal factor.

Most intense lines, 2θ from 10° to 80°, in order of rising 2θ:
2theta, d_spacing, I (rel.)
13.27, 6.670, 82.1
18.62, 4.765, 83.3
28.01, 3.186, 100.0
29.52, 3.026, 81.1
33.29, 2.692, 44.5
34.78, 2.579, 53.9

Cell lengths 9.8754, 9.2721, 5.7124 Å; angles 90.00, 103.48, 90.00 degrees
Atoms (fractional coordinates):
Ge 0.0496 0.1651 0.3096
Ge 0.0496 0.3349 0.8096
Ge 0.4419 0.1667 0.6791
Ge 0.4419 0.3333 0.1791
Ge 0.5581 0.6667 0.8209
Ge 0.5581 0.8333 0.3209
Ge 0.9504 0.6651 0.1904
Ge 0.9504 0.8349 0.6904
W 0.2518 0.6499 0.0007
W 0.2518 0.8501 0.5007
W 0.7482 0.1499 0.4993
W 0.7482 0.3501 0.9993
O 0.1037 0.5144 0.8369
O 0.1037 0.9856 0.3369
O 0.1167 0.2472 0.0843
O 0.1167 0.2527 0.5843
O 0.1379 0.6824 0.2668
O 0.1379 0.8176 0.7668
O 0.3679 0.6884 0.7503
O 0.3679 0.8116 0.2503
O 0.3841 0.2127 0.3725
O 0.3841 0.2873 0.8725
O 0.3857 0.5075 0.2078
O 0.3857 0.9925 0.7078
O 0.6143 0.0075 0.2922
O 0.6143 0.4925 0.7922
O 0.6159 0.7127 0.1275
O 0.6159 0.7873 0.6275
O 0.6321 0.1884 0.7497
O 0.6321 0.3116 0.2497
O 0.8621 0.1824 0.2332
O 0.8621 0.3176 0.7332
O 0.8833 0.7472 0.4157
O 0.8833 0.7528 0.9157
O 0.8963 0.0144 0.6631
O 0.8963 0.4856 0.1631

---

Computed X-ray diffraction stick pattern
Compound: ZnGe2WO6
Radiation: copper Kα
Structure: a PBE+U-relaxed structure
Kinematic intensities with the Lorentz-polarization factor, no thermal factor.

Most intense lines, 2θ from 10° to 80°, in order of rising 2θ:
2theta, d_spacing, I (rel.)
13.47, 6.576, 51.9
21.38, 4.157, 19.9
22.49, 3.954, 44.7
29.76, 3.002, 100.0
38.23, 2.354, 28.6
54.36, 1.688, 18.0

Cell lengths 8.0115, 8.0115, 4.9922 Å; angles 90.12, 90.12, 69.68 degrees
Atoms (fractional coordinates):
Zn 0.1381 0.8619 0.7500
Zn 0.8619 0.1381 0.2500
Ge 0.0738 0.2943 0.7199
Ge 0.2943 0.0738 0.2199
Ge 0.7057 0.9262 0.7801
Ge 0.9262 0.7057 0.2801
W 0.3976 0.6024 0.2500
W 0.6024 0.3976 0.7500
O 0.0595 0.1741 0.0495
O 0.1726 0.6772 0.4294
O 0.1741 0.0595 0.5495
O 0.3228 0.8274 0.0706
O 0.3593 0.4707 0.9527
O 0.4707 0.3593 0.4527
O 0.5293 0.6407 0.5473
O 0.6407 0.5293 0.0473
O 0.6772 0.1726 0.9294
O 0.8259 0.9405 0.4505
O 0.8274 0.3228 0.5706
O 0.9405 0.8259 0.9505